(1)
The following is a calculated powder XRD pattern of Th2Zn5Ag5. It was derived from a structure optimized by DFT (GGA-PBE), using Cu Kα (weighted mean of Kα1 and Kα2).
Neutral-atom scattering factors, no anomalous dispersion.

Structure:
Cell: 4.5164 5.3992 9.5783 Å, 90.00 90.00 90.00°
Space group Pmmm (No. 47)
Inequivalent atoms, fractional coordinates:
Th (0.0000, 0.0000, 0.0000) [1 per cell]
Th (0.0000, 0.5000, 0.5000) [1 per cell]
Zn (0.5000, 0.0000, 0.5000) [1 per cell]
Zn (0.5000, 0.2483, 0.2521) [4 per cell]
Ag (0.0000, 0.0000, 0.3330) [2 per cell]
Ag (0.0000, 0.5000, 0.1758) [2 per cell]
Ag (0.5000, 0.5000, 0.0000) [1 per cell]

The 8 most intense peaks (2θ from 5° to 70°), by intensity:
| 2theta | d [Å] | intensity | hkl |
| --- | --- | --- | --- |
| 38.3 | 2.348 | 100 | 1 1 3 |
| 38.9 | 2.317 | 35 | 1 2 0 |
| 27.4 | 3.258 | 30 | 1 1 1 |
| 39.9 | 2.258 | 30 | 2 0 0 |
| 32.6 | 2.748 | 28 | 0 1 3 |
| 62.7 | 1.481 | 19 | 1 3 3 |
| 19.7 | 4.516 | 17 | 1 0 0 |
| 33.2 | 2.700 | 17 | 0 2 0 |


(2)
The following is a calculated powder XRD pattern of Tl7InPb2. It was derived from a structure optimized by DFT (GGA-PBE), using Cu Kα (weighted mean of Kα1 and Kα2).
Neutral-atom scattering factors, no anomalous dispersion.

Structure:
Cell: 11.5971 11.5971 11.5971 Å, 90.00 90.00 90.00°
Space group Fm-3m (No. 225)
Inequivalent atoms, fractional coordinates:
Tl (0.0000, 0.0000, 0.0000) [4 per cell]
Tl (0.0000, 0.0000, 0.2521) [24 per cell]
In (0.0000, 0.0000, 0.5000) [4 per cell]
Pb (0.2500, 0.2500, 0.2500) [8 per cell]

The 8 most intense peaks (2θ from 5° to 70°), by intensity:
| 2theta | d [Å] | intensity | hkl |
| --- | --- | --- | --- |
| 30.8 | 2.899 | 100 | 4 0 0 |
| 26.6 | 3.348 | 87 | 2 2 2 |
| 44.2 | 2.050 | 76 | 4 4 0 |
| 52.3 | 1.748 | 42 | 6 2 2 |
| 54.8 | 1.674 | 27 | 4 4 4 |
| 15.3 | 5.799 | 14 | 2 0 0 |
| 21.7 | 4.100 | 14 | 2 2 0 |
| 64.3 | 1.450 | 13 | 8 0 0 |


(3)
The following is a calculated powder XRD pattern of PuGa7. It was derived from a structure optimized by DFT (GGA-PBE), using Cu Kα (weighted mean of Kα1 and Kα2).
Neutral-atom scattering factors, no anomalous dispersion.

Structure:
Cell: 4.7828 5.8274 5.8800 Å, 95.79 102.55 101.71°
Space group P-1 (No. 2)
Inequivalent atoms, fractional coordinates:
Pu (0.0000, 0.0000, 0.0000) [1 per cell]
Ga (0.1107, 0.2612, 0.5298) [2 per cell]
Ga (0.2342, 0.5718, 0.2009) [2 per cell]
Ga (0.3744, 0.6921, 0.8016) [2 per cell]
Ga (0.5000, 0.0000, 0.5000) [1 per cell]

The 8 most intense peaks (2θ from 5° to 70°), by intensity:
| 2theta | d [Å] | intensity | hkl |
| --- | --- | --- | --- |
| 37.0 | 2.432 | 100 | -1 2 1 |
| 35.6 | 2.520 | 91 | 1 1 1 |
| 39.2 | 2.299 | 77 | 2 -1 0 |
| 33.1 | 2.704 | 73 | 0 1 -2 |
| 40.7 | 2.216 | 56 | 1 2 -1 |
| 33.3 | 2.692 | 47 | 0 2 -1 |
| 44.6 | 2.031 | 40 | 2 0 -2 |
| 32.9 | 2.723 | 38 | 1 0 -2 |


(4)
The following is a calculated powder XRD pattern of Ba3Mg6Tl5. It was derived from a structure optimized by DFT (GGA-PBE), using Cu Kα (weighted mean of Kα1 and Kα2).
Neutral-atom scattering factors, no anomalous dispersion.

Structure:
Cell: 5.0871 15.2713 10.9676 Å, 90.00 90.00 90.00°
Space group Pmmn (No. 59, origin choice 2)
Inequivalent atoms, fractional coordinates:
Ba (0.2500, 0.0604, 0.2445) [4 per cell]
Ba (0.2500, 0.7500, 0.2458) [2 per cell]
Mg (0.2500, 0.0737, 0.5928) [4 per cell]
Mg (0.2500, 0.2500, 0.0295) [2 per cell]
Mg (0.2500, 0.2500, 0.4442) [2 per cell]
Mg (0.2500, 0.5925, 0.9894) [4 per cell]
Tl (0.2500, 0.0912, 0.8674) [4 per cell]
Tl (0.2500, 0.6288, 0.5333) [4 per cell]
Tl (0.2500, 0.7500, 0.7928) [2 per cell]

The 8 most intense peaks (2θ from 5° to 70°), by intensity:
| 2theta | d [Å] | intensity | hkl |
| --- | --- | --- | --- |
| 29.7 | 3.008 | 100 | 1 3 2 |
| 35.3 | 2.544 | 75 | 2 0 0 |
| 24.7 | 3.599 | 48 | 1 3 0 |
| 30.1 | 2.969 | 44 | 1 0 3 |
| 26.1 | 3.419 | 41 | 1 3 1 |
| 23.9 | 3.731 | 37 | 0 3 2 |
| 20.1 | 4.418 | 34 | 1 1 1 |
| 28.5 | 3.133 | 30 | 0 4 2 |


(5)
The following is a calculated powder XRD pattern of In4HgS2. It was derived from a structure optimized by DFT (GGA-PBE), using Cu Kα (weighted mean of Kα1 and Kα2).
Neutral-atom scattering factors, no anomalous dispersion.

Structure:
Cell: 15.1621 3.9053 6.4723 Å, 90.00 95.56 90.00°
Space group C2/m (No. 12)
Inequivalent atoms, fractional coordinates:
In (0.1221, 0.0000, 0.4144) [4 per cell]
In (0.1437, 0.5000, 0.8480) [4 per cell]
Hg (0.0000, 0.0000, 0.0000) [2 per cell]
S (0.2296, 0.5000, 0.2415) [4 per cell]

The 8 most intense peaks (2θ from 5° to 70°), by intensity:
| 2theta | d [Å] | intensity | hkl |
| --- | --- | --- | --- |
| 31.4 | 2.849 | 100 | 3 1 -1 |
| 31.2 | 2.864 | 53 | 2 0 2 |
| 41.3 | 2.185 | 48 | 5 1 1 |
| 23.5 | 3.779 | 27 | 1 1 0 |
| 48.2 | 1.887 | 27 | 1 1 -3 |
| 46.5 | 1.952 | 26 | 0 2 0 |
| 37.1 | 2.423 | 23 | 6 0 -1 |
| 28.9 | 3.085 | 20 | 3 1 0 |


(6)
The following is a calculated powder XRD pattern of HgGe2AuSe. It was derived from a structure optimized by DFT (GGA-PBE), using Cu Kα (weighted mean of Kα1 and Kα2).
Neutral-atom scattering factors, no anomalous dispersion.

Structure:
Cell: 7.0142 3.6141 11.1962 Å, 90.00 106.11 90.00°
Space group P2_1/m (No. 11)
Inequivalent atoms, fractional coordinates:
Hg (0.1196, 0.2500, 0.1347) [2 per cell]
Ge (0.1419, 0.7500, 0.6259) [2 per cell]
Ge (0.4287, 0.7500, 0.1002) [2 per cell]
Au (0.2824, 0.7500, 0.8607) [2 per cell]
Se (0.2390, 0.2500, 0.4970) [2 per cell]

The 8 most intense peaks (2θ from 5° to 70°), by intensity:
| 2theta | d [Å] | intensity | hkl |
| --- | --- | --- | --- |
| 8.2 | 10.757 | 100 | 0 0 1 |
| 26.0 | 3.426 | 46 | 0 1 1 |
| 35.7 | 2.516 | 41 | 2 1 -1 |
| 24.8 | 3.586 | 40 | 0 0 3 |
| 50.5 | 1.806 | 29 | 0 2 0 |
| 28.2 | 3.169 | 25 | 1 1 -1 |
| 33.3 | 2.689 | 24 | 0 0 4 |
| 35.1 | 2.554 | 22 | 2 0 2 |